1.
For Gd2Mg3, a structure optimized by DFT (GGA-PBE) gives the computed powder XRD pattern in this record (copper Kα).

The 8 most intense peaks (2θ = 15–90°), sorted by position:
2θ (°)	I_rel
19.1	100
32.6	34
33.5	51
38.1	24
38.8	17
43.0	34
51.6	18
52.2	15

Cell and atoms:
```
Gd2Mg3
1.0
4.6388 2.6782 3.8963
-4.6388 2.6782 3.8963
0.0000 -5.3564 3.8963
Gd Mg
4 6
Direct
0.1245 0.1245 0.1245
0.3755 0.3755 0.3755
0.6245 0.6245 0.6245
0.8755 0.8755 0.8755
0.0698 0.7500 0.4302
0.2500 0.5698 0.9302
0.4303 0.0698 0.7500
0.5698 0.9302 0.2500
0.7500 0.4302 0.0698
0.9303 0.2500 0.5698
```

2.
For PrNdGaNi2, a structure optimized by DFT (GGA-PBE) gives the computed powder XRD pattern in this record (copper Kα).

The 8 most intense peaks (2θ = 15–90°), sorted by position:
2θ (°)	I_rel
29.7	23
33.2	100
35.0	68
38.1	45
39.7	44
45.8	25
47.6	22
58.9	30

Cell and atoms:
```
PrNdGaNi2
1.0
3.8223 0.0000 0.0000
0.0000 1.9814 6.9173
0.0000 -1.9814 6.9173
Pr Nd Ga Ni
1 1 1 2
Direct
0.0000 0.0000 0.0000
0.0000 0.2589 0.2589
0.5000 0.6305 0.6305
0.5000 0.4303 0.4303
0.5000 0.8262 0.8262
```